Record 1
Diffraction record for Ho6Sc5. The powder XRD pattern is simulated, not measured: it uses DFT lattice parameters and positions (GGA-PBE) and a wavelength of 1.5418 Å.
No peak broadening, texture or thermal motion is included.

The 10 most intense peaks (2θ = 10–90°), in order of falling intensity:
2θ/deg	d (Å)	I (rel.)
33.54	2.672	100
24.61	3.618	54
34.06	2.633	34
34.49	2.600	28
22.44	3.963	27
66.53	1.405	23
60.63	1.527	18
36.07	2.490	16
31.46	2.844	15
50.45	1.809	12

Structural model:
a b c (Å): 8.8567 8.8567 8.8567
angles (deg): 145.42 126.84 64.98
Positions (direct):
Ho 0.0672 0.3571 0.7101
Ho 0.2104 0.0000 0.2104
Ho 0.3531 0.6429 0.7101
Ho 0.6469 0.3571 0.2899
Ho 0.7896 0.0000 0.7896
Ho 0.9328 0.6429 0.2899
Sc 0.2033 0.2033 0.0000
Sc 0.3392 0.8392 0.5000
Sc 0.5000 0.5000 0.0000
Sc 0.6608 0.1608 0.5000
Sc 0.7967 0.7967 0.0000

Record 2
Diffraction record for Ho2Sc7. The powder XRD pattern is simulated, not measured: it uses DFT lattice parameters and positions (GGA-PBE) and a wavelength of 1.5418 Å.
No peak broadening, texture or thermal motion is included.

The 10 most intense peaks (2θ = 10–90°), in order of falling intensity:
2θ/deg	d (Å)	I (rel.)
34.52	2.598	100
33.54	2.672	75
19.73	4.501	59
11.35	7.795	42
40.95	2.204	33
35.52	2.528	32
66.87	1.399	30
29.23	3.055	27
61.22	1.514	24
48.89	1.863	24

Structural model:
a b c (Å): 9.0011 9.0011 3.3207
angles (deg): 90.00 90.00 120.00
Positions (direct):
Ho 0.3333 0.6667 0.0000
Ho 0.6667 0.3333 0.0000
Sc 0.0000 0.0000 0.5000
Sc 0.0000 0.3560 0.5000
Sc 0.0000 0.6984 0.0000
Sc 0.3016 0.3016 0.0000
Sc 0.3560 0.0000 0.5000
Sc 0.6440 0.6440 0.5000
Sc 0.6984 0.0000 0.0000

Record 3
Diffraction record for HoSc4Se5. The powder XRD pattern is simulated, not measured: it uses DFT lattice parameters and positions (GGA-PBE) and a wavelength of 1.5418 Å.
No peak broadening, texture or thermal motion is included.

The 10 most intense peaks (2θ = 10–90°), in order of falling intensity:
2θ/deg	d (Å)	I (rel.)
32.37	2.766	100
46.43	1.956	70
57.70	1.598	18
86.07	1.130	17
77.05	1.238	15
77.18	1.236	14
67.77	1.383	11
11.10	7.970	7
57.85	1.594	5
86.28	1.127	5

Structural model:
a b c (Å): 16.0986 16.0986 16.0986
angles (deg): 13.97 13.97 13.97
Positions (direct):
Ho 0.0000 0.0000 0.0000
Sc 0.1994 0.1994 0.1994
Sc 0.4020 0.4020 0.4020
Sc 0.5980 0.5980 0.5980
Sc 0.8006 0.8006 0.8006
Se 0.1014 0.1014 0.1014
Se 0.2970 0.2970 0.2970
Se 0.5000 0.5000 0.5000
Se 0.7030 0.7030 0.7030
Se 0.8986 0.8986 0.8986

Record 4
Diffraction record for HoSc6Se8. The powder XRD pattern is simulated, not measured: it uses DFT lattice parameters and positions (GGA-PBE) and a wavelength of 1.5418 Å.
No peak broadening, texture or thermal motion is included.

The 10 most intense peaks (2θ = 10–90°), in order of falling intensity:
2θ/deg	d (Å)	I (rel.)
32.71	2.738	100
46.93	1.936	70
78.04	1.225	29
58.37	1.581	24
87.21	1.118	22
27.00	3.302	17
14.01	6.323	16
35.73	2.513	12
68.54	1.369	11
28.23	3.162	7

Structural model:
a b c (Å): 7.7445 7.7445 7.7445
angles (deg): 60.00 60.00 60.00
Positions (direct):
Ho 0.0000 0.0000 0.0000
Sc 0.0000 0.0000 0.5000
Sc 0.0000 0.5000 0.0000
Sc 0.0000 0.5000 0.5000
Sc 0.5000 0.0000 0.0000
Sc 0.5000 0.0000 0.5000
Sc 0.5000 0.5000 0.0000
Se 0.2500 0.2500 0.2500
Se 0.2596 0.2596 0.7404
Se 0.2596 0.7404 0.2596
Se 0.2596 0.7404 0.7404
Se 0.7404 0.2596 0.2596
Se 0.7404 0.2596 0.7404
Se 0.7404 0.7404 0.2596
Se 0.7500 0.7500 0.7500

Record 5
Diffraction record for TbHoSc2Se4. The powder XRD pattern is simulated, not measured: it uses DFT lattice parameters and positions (GGA-PBE) and a wavelength of 1.5418 Å.
No peak broadening, texture or thermal motion is included.

The 10 most intense peaks (2θ = 10–90°), in order of falling intensity:
2θ/deg	d (Å)	I (rel.)
31.82	2.812	100
45.67	1.986	24
45.57	1.991	24
13.55	6.536	18
57.01	1.615	12
45.27	2.003	12
45.99	1.973	12
26.40	3.376	12
66.50	1.406	11
75.69	1.257	11

Structural model:
a b c (Å): 6.8965 3.9466 6.9169
angles (deg): 90.00 109.10 90.00
Positions (direct):
Tb 0.0000 0.0000 0.0000
Ho 0.5000 0.5000 0.0000
Sc 0.0000 0.5000 0.5000
Sc 0.5000 0.0000 0.5000
Se 0.2468 0.0000 0.7353
Se 0.2571 0.5000 0.2660
Se 0.7429 0.5000 0.7340
Se 0.7532 0.0000 0.2647

Record 6
Diffraction record for HoScSi4. The powder XRD pattern is simulated, not measured: it uses DFT lattice parameters and positions (GGA-PBE) and a wavelength of 1.5418 Å.
No peak broadening, texture or thermal motion is included.

The 10 most intense peaks (2θ = 10–90°), in order of falling intensity:
2θ/deg	d (Å)	I (rel.)
32.60	2.747	100
34.22	2.620	77
37.24	2.415	74
22.64	3.927	60
31.83	2.811	55
12.47	7.096	47
28.53	3.128	37
24.86	3.582	36
21.55	4.123	34
38.37	2.346	33

Structural model:
a b c (Å): 8.1674 14.3282 3.8428
angles (deg): 90.00 90.00 90.00
Positions (direct):
Ho 0.1094 0.1347 0.0000
Ho 0.3906 0.6347 0.0000
Ho 0.6094 0.3653 0.0000
Ho 0.8906 0.8653 0.0000
Sc 0.1424 0.4137 0.0000
Sc 0.3576 0.9137 0.0000
Sc 0.6424 0.0863 0.0000
Sc 0.8576 0.5863 0.0000
Si 0.0300 0.2937 0.5000
Si 0.1192 0.5598 0.5000
Si 0.1299 0.9674 0.5000
Si 0.1870 0.8061 0.5000
Si 0.3130 0.3061 0.5000
Si 0.3701 0.4674 0.5000
Si 0.3808 0.0598 0.5000
Si 0.4700 0.7937 0.5000
Si 0.5300 0.2063 0.5000
Si 0.6192 0.9402 0.5000
Si 0.6299 0.5326 0.5000
Si 0.6870 0.6939 0.5000
Si 0.8130 0.1939 0.5000
Si 0.8701 0.0326 0.5000
Si 0.8808 0.4402 0.5000
Si 0.9700 0.7063 0.5000

Record 7
Diffraction record for Sm3Ho4Sc2. The powder XRD pattern is simulated, not measured: it uses DFT lattice parameters and positions (GGA-PBE) and a wavelength of 1.5418 Å.
No peak broadening, texture or thermal motion is included.

The 10 most intense peaks (2θ = 10–90°), in order of falling intensity:
2θ/deg	d (Å)	I (rel.)
32.70	2.739	100
32.36	2.767	61
32.55	2.751	59
30.36	2.945	55
31.85	2.809	41
34.36	2.610	38
63.18	1.472	32
38.30	2.350	26
47.71	1.906	25
59.30	1.558	19

Structural model:
a b c (Å): 8.5672 8.5672 9.5448
angles (deg): 100.10 100.10 23.48
Positions (direct):
Sm 0.0000 0.0000 0.0000
Sm 0.1571 0.1571 0.5902
Sm 0.8429 0.8429 0.4098
Ho 0.1755 0.1755 0.2282
Ho 0.4861 0.4861 0.6757
Ho 0.5139 0.5139 0.3243
Ho 0.8245 0.8245 0.7718
Sc 0.3326 0.3326 0.0773
Sc 0.6674 0.6674 0.9227

Record 8
Diffraction record for Sm5Ho12Sc. The powder XRD pattern is simulated, not measured: it uses DFT lattice parameters and positions (GGA-PBE) and a wavelength of 1.5418 Å.
No peak broadening, texture or thermal motion is included.

The 10 most intense peaks (2θ = 10–90°), in order of falling intensity:
2θ/deg	d (Å)	I (rel.)
30.95	2.889	100
35.85	2.505	34
61.40	1.510	28
51.69	1.768	24
35.96	2.497	17
61.54	1.507	14
64.50	1.445	12
51.61	1.771	12
84.37	1.148	9
87.05	1.119	8

Structural model:
a b c (Å): 10.6114 10.6114 6.1248
angles (deg): 106.60 106.60 60.03
Positions (direct):
Sm 0.0000 0.0000 0.0000
Sm 0.1668 0.1668 0.5011
Sm 0.3350 0.3350 0.0055
Sm 0.6650 0.6650 0.9945
Sm 0.8332 0.8332 0.4989
Ho 0.0010 0.6654 0.9981
Ho 0.1698 0.5010 0.5020
Ho 0.1704 0.8296 0.5000
Ho 0.3352 0.6648 0.0000
Ho 0.3346 0.9990 0.0019
Ho 0.4990 0.8302 0.4980
Ho 0.5010 0.1698 0.5020
Ho 0.6654 0.0010 0.9981
Ho 0.6648 0.3352 0.0000
Ho 0.8296 0.1704 0.5000
Ho 0.8302 0.4990 0.4980
Ho 0.9990 0.3346 0.0019
Sc 0.5000 0.5000 0.5000